1.
Computed PXRD pattern
Compound: PaMnGa2O8
Radiation: Cu Kα, 1.54184 Å
Structure: a GGA+U-relaxed structure

Structure:
```
data_PaMnGa2O8
_chemical_formula_sum 'Pa2 Mn2 Ga4 O16'
_cell_length_a 6.6786
_cell_length_b 6.6786
_cell_length_c 6.8614
_cell_angle_alpha 90.00
_cell_angle_beta 90.00
_cell_angle_gamma 90.00
_symmetry_space_group_name_H-M 'I -4 m 2'
_symmetry_Int_Tables_number 119
_symmetry_space_group_name_Hall 'I -4 -2'
loop_
_atom_site_label
_atom_site_type_symbol
_atom_site_fract_x
_atom_site_fract_y
_atom_site_fract_z
Pa1 Pa 0.0000 0.0000 0.0000
Mn1 Mn 0.0000 0.5000 0.2500
Ga1 Ga 0.0000 0.0000 0.5000
Ga2 Ga 0.0000 0.5000 0.7500
O1 O 0.0000 0.1994 0.3041
O2 O 0.0000 0.3087 0.9387
```

Most intense lines, 10 to 90 degrees two-theta, by angle:
| h k l | d (Å) | two_theta | I (rel.) |
| --- | --- | --- | --- |
| 1 0 1 | 4.786 | 18.54 | 58 |
| 1 1 0 | 4.722 | 18.79 | 30 |
| 2 0 0 | 3.339 | 26.70 | 100 |
| 1 1 2 | 2.776 | 32.25 | 97 |
| 2 2 0 | 2.361 | 38.11 | 21 |
| 3 1 2 | 1.798 | 50.76 | 70 |


2.
Computed PXRD pattern
Compound: PmMn3Ga4O12
Radiation: Cu Kα, 1.54184 Å
Structure: a GGA+U-relaxed structure

Structure:
```
data_PmMn3Ga4O12
_chemical_formula_sum 'Pm2 Mn6 Ga8 O24'
_cell_length_a 7.4863
_cell_length_b 7.4863
_cell_length_c 7.4863
_cell_angle_alpha 90.00
_cell_angle_beta 90.00
_cell_angle_gamma 90.00
_symmetry_space_group_name_H-M 'I m -3'
_symmetry_Int_Tables_number 204
_symmetry_space_group_name_Hall '-I 2 2 3'
loop_
_atom_site_label
_atom_site_type_symbol
_atom_site_fract_x
_atom_site_fract_y
_atom_site_fract_z
Pm1 Pm 0.0000 0.0000 0.0000
Mn1 Mn 0.0000 0.0000 0.5000
Ga1 Ga 0.2500 0.2500 0.2500
O1 O 0.0000 0.3065 0.1752
```

Most intense lines, 10 to 90 degrees two-theta, by angle:
| h k l | d (Å) | two_theta | I (rel.) |
| --- | --- | --- | --- |
| 1 1 0 | 5.294 | 16.75 | 13 |
| 2 2 0 | 2.647 | 33.87 | 100 |
| 4 0 0 | 1.872 | 48.65 | 25 |
| 4 2 2 | 1.528 | 60.59 | 48 |
| 4 4 0 | 1.323 | 71.26 | 13 |
| 6 2 0 | 1.184 | 81.28 | 17 |


3.
Computed PXRD pattern
Compound: Sr2MnGaO5
Radiation: Cu Kα, 1.54184 Å
Structure: a GGA+U-relaxed structure

Structure:
```
data_Sr2MnGaO5
_chemical_formula_sum 'Sr16 Mn8 Ga8 O40'
_cell_length_a 7.8203
_cell_length_b 7.9646
_cell_length_c 16.2331
_cell_angle_alpha 90.00
_cell_angle_beta 90.00
_cell_angle_gamma 90.00
_symmetry_space_group_name_H-M 'F m m m'
_symmetry_Int_Tables_number 69
_symmetry_space_group_name_Hall '-F 2 2'
loop_
_atom_site_label
_atom_site_type_symbol
_atom_site_fract_x
_atom_site_fract_y
_atom_site_fract_z
Sr1 Sr 0.0000 0.2337 0.1395
Mn1 Mn 0.2500 0.0000 0.2500
Ga1 Ga 0.1808 0.0000 0.5000
O1 O 0.0000 0.0000 0.2579
O2 O 0.0000 0.1673 0.5000
O3 O 0.2226 0.0000 0.1043
O4 O 0.2500 0.2500 0.2500
```

Most intense lines, 10 to 90 degrees two-theta, by angle:
| h k l | d (Å) | two_theta | I (rel.) |
| --- | --- | --- | --- |
| 0 2 4 | 2.842 | 31.47 | 84 |
| 2 0 4 | 2.816 | 31.78 | 64 |
| 2 2 0 | 2.790 | 32.08 | 100 |
| 0 0 8 | 2.029 | 44.66 | 25 |
| 0 4 0 | 1.991 | 45.56 | 27 |
| 2 4 4 | 1.626 | 56.62 | 28 |


4.
Computed PXRD pattern
Compound: Sr4Mn2Ga2O11
Radiation: Cu Kα, 1.54184 Å
Structure: a GGA+U-relaxed structure

Structure:
```
data_Sr4Mn2Ga2O11
_chemical_formula_sum 'Sr16 Mn8 Ga8 O44'
_cell_length_a 7.9037
_cell_length_b 7.9878
_cell_length_c 15.1393
_cell_angle_alpha 90.00
_cell_angle_beta 90.00
_cell_angle_gamma 90.00
_symmetry_space_group_name_H-M 'F m m m'
_symmetry_Int_Tables_number 69
_symmetry_space_group_name_Hall '-F 2 2'
loop_
_atom_site_label
_atom_site_type_symbol
_atom_site_fract_x
_atom_site_fract_y
_atom_site_fract_z
Sr1 Sr 0.0000 0.2485 0.1275
Mn1 Mn 0.2500 0.0000 0.2500
Ga1 Ga 0.2308 0.0000 0.0000
O1 O 0.0000 0.0000 0.0000
O2 O 0.0000 0.0000 0.2287
O3 O 0.2040 0.0000 0.3769
O4 O 0.2500 0.2500 0.0000
O5 O 0.2500 0.2500 0.2500
```

Most intense lines, 10 to 90 degrees two-theta, by angle:
| h k l | d (Å) | two_theta | I (rel.) |
| --- | --- | --- | --- |
| 2 2 0 | 2.809 | 31.86 | 98 |
| 0 2 4 | 2.747 | 32.59 | 84 |
| 2 0 4 | 2.733 | 32.76 | 100 |
| 0 4 0 | 1.997 | 45.42 | 37 |
| 2 4 4 | 1.612 | 57.12 | 40 |
| 4 2 4 | 1.604 | 57.45 | 36 |